# 1
Calculated powder XRD pattern
Compound: Ti2VO6
Radiation: Cu Kα X-rays
Structure: a PBE+U-relaxed structure
Intensities are scaled so that the largest is 100.

Structure:
```
18
Lattice="4.7251 0.0000 0.0000 0.0000 5.0255 0.0000 0.0000 0.0000 8.4917" Properties=species:S:1:pos:R:3 pbc="T T T"
Ti 0.0000 0.0000 1.6406
Ti 0.0000 0.0000 6.8511
Ti 2.3625 2.5128 2.6052
Ti 2.3625 2.5128 5.8865
V 0.0000 2.5128 0.0000
V 2.3625 0.0000 4.2459
O 0.8774 0.8916 0.0000
O 1.1051 3.3519 1.4659
O 1.1051 3.3519 7.0258
O 1.2574 0.8392 2.7800
O 1.2574 0.8392 5.7117
O 1.4851 3.4044 4.2459
O 3.2400 1.6211 4.2459
O 3.4677 4.1864 2.7800
O 3.4677 4.1864 5.7117
O 3.6199 1.6736 1.4659
O 3.6199 1.6736 7.0258
O 3.8476 4.1339 0.0000
```

Most intense lines, 2θ from 15° to 90°, by angle:
index	d_spacing	I_rel
1 0 1	4.129	100
1 1 0	3.442	14
1 1 2	2.674	79
0 1 3	2.466	18
1 1 3	2.186	22
1 2 1	2.147	17
2 2 0	1.721	25
2 1 3	1.706	41
1 0 5	1.598	14
1 3 2	1.480	15
0 3 3	1.442	17
0 0 6	1.416	19

---

# 2
Calculated powder XRD pattern
Compound: CsAc2MnO5
Radiation: Cu Kα X-rays
Structure: a PBE+U-relaxed structure
Intensities are scaled so that the largest is 100.

Structure:
```
18
Lattice="7.2450 0.0000 0.0000 0.0000 7.2450 0.0000 0.0000 0.0000 6.0393" Properties=species:S:1:pos:R:3 pbc="T T T"
Cs 0.0000 0.0000 0.0000
Cs 3.6225 3.6225 0.0000
Ac 1.3243 2.2982 3.0197
Ac 2.2982 5.9207 3.0197
Ac 4.9469 1.3243 3.0197
Ac 5.9207 4.9469 3.0197
Mn 0.0000 3.6225 0.0000
Mn 3.6225 0.0000 0.0000
O 0.0000 0.0000 3.0197
O 0.9164 4.5389 1.4395
O 0.9164 4.5389 4.5998
O 2.7061 0.9164 1.4395
O 2.7061 0.9164 4.5998
O 3.6225 3.6225 3.0197
O 4.5389 6.3286 1.4395
O 4.5389 6.3286 4.5998
O 6.3286 2.7061 1.4395
O 6.3286 2.7061 4.5998
```

Most intense lines, 2θ from 15° to 90°, by angle:
index	d_spacing	I_rel
2 1 0	3.240	32
2 0 1	3.107	100
0 0 2	3.020	36
2 1 1	2.855	69
2 2 0	2.562	22
3 1 0	2.291	18
2 1 2	2.209	44
2 2 2	1.953	20
2 0 3	1.759	34
3 3 0	1.709	20
4 1 1	1.687	26
4 1 2	1.519	19